(1)
Structure and simulated XRD peak list of Dy2ErSc3P2Os (the GGA-PBE geometry in OQMD; CuKα).

Structure:
```
Dy2ErSc3P2Os
1.0
4.0599 0.0000 0.0000
0.0000 6.3946 3.7034
0.0000 -6.3946 3.7034
Dy Er Sc P Os
2 1 3 2 1
direct
0.0000 0.2064 0.7936
0.0000 0.7936 0.2064
0.0000 0.6192 0.6192
0.5000 0.2062 0.4501
0.5000 0.4501 0.2062
0.5000 0.9682 0.9682
0.5000 0.5412 0.8716
0.5000 0.8716 0.5412
0.0000 0.2125 0.2125
```

Most intense lines, 2θ = 10–80°, sorted by position:
| two_theta | I/Imax |
| --- | --- |
| 21.89 | 38 |
| 24.07 | 21 |
| 27.86 | 51 |
| 32.76 | 62 |
| 35.71 | 100 |
| 37.11 | 20 |
| 43.52 | 22 |
| 44.64 | 20 |
| 53.44 | 18 |
| 56.52 | 16 |
| 63.21 | 15 |
| 67.88 | 16 |

---

(2)
Structure and simulated XRD peak list of BaNaHoSe3 (the GGA-PBE geometry in OQMD; CuKα).

Structure:
```
BaNaHoSe3
1.0
10.8412 0.0000 0.0000
0.0000 4.3963 0.0000
0.0000 0.0000 14.3118
Ba Na Ho Se
4 4 4 12
direct
0.2484 0.2500 0.0029
0.2516 0.7500 0.5029
0.7484 0.2500 0.4971
0.7516 0.7500 0.9971
0.2471 0.7500 0.7766
0.2529 0.2500 0.2766
0.7471 0.7500 0.7234
0.7529 0.2500 0.2234
0.0030 0.7500 0.2503
0.4970 0.2500 0.7503
0.5030 0.7500 0.2497
0.9970 0.2500 0.7497
0.0423 0.7500 0.8830
0.0478 0.2500 0.3833
0.2474 0.2500 0.6712
0.2526 0.7500 0.1712
0.4522 0.7500 0.8833
0.4577 0.2500 0.3830
0.5423 0.7500 0.6170
0.5478 0.2500 0.1167
0.7474 0.2500 0.8288
0.7526 0.7500 0.3288
0.9522 0.7500 0.6167
0.9577 0.2500 0.1170
```

Most intense lines, 2θ = 10–80°, sorted by position:
| two_theta | I/Imax |
| --- | --- |
| 20.56 | 81 |
| 27.61 | 100 |
| 28.82 | 98 |
| 32.24 | 91 |
| 32.68 | 36 |
| 33.05 | 59 |
| 41.06 | 47 |
| 41.15 | 62 |
| 41.35 | 47 |
| 50.70 | 32 |
| 53.69 | 29 |
| 59.69 | 32 |

---

(3)
Structure and simulated XRD peak list of Ba4Nb14O23 (the GGA-PBE geometry in OQMD; CuKα).

Structure:
```
Ba4Nb14O23
1.0
6.2459 -10.4402 0.0000
6.2459 10.4402 0.0000
0.0000 0.0000 4.1766
Ba Nb O
4 14 23
direct
0.0679 0.2709 0.0000
0.2709 0.0679 0.0000
0.7291 0.9321 0.0000
0.9321 0.7291 0.0000
0.0000 0.0000 0.5000
0.1377 0.5400 0.5000
0.2015 0.7985 0.5000
0.2959 0.7041 0.0000
0.3367 0.3367 0.5000
0.4002 0.5998 0.5000
0.4600 0.8623 0.5000
0.5000 0.5000 0.0000
0.5400 0.1377 0.5000
0.5998 0.4002 0.5000
0.6633 0.6633 0.5000
0.7041 0.2959 0.0000
0.7985 0.2015 0.5000
0.8623 0.4600 0.5000
0.0000 0.0000 0.0000
0.0310 0.6369 0.5000
0.0962 0.9038 0.5000
0.1350 0.5292 0.0000
0.1623 0.1623 0.5000
0.1949 0.8051 0.0000
0.2294 0.4293 0.5000
0.3287 0.3287 0.0000
0.3631 0.9690 0.5000
0.3993 0.6007 0.0000
0.4293 0.2294 0.5000
0.4708 0.8650 0.0000
0.5292 0.1350 0.0000
0.5707 0.7706 0.5000
0.6007 0.3993 0.0000
0.6369 0.0310 0.5000
0.6713 0.6713 0.0000
0.7706 0.5707 0.5000
0.8051 0.1949 0.0000
0.8377 0.8377 0.5000
0.8650 0.4708 0.0000
0.9038 0.0962 0.5000
0.9690 0.3631 0.5000
```

Most intense lines, 2θ = 10–80°, sorted by position:
| two_theta | I/Imax |
| --- | --- |
| 30.31 | 88 |
| 30.62 | 76 |
| 30.93 | 29 |
| 31.12 | 55 |
| 43.33 | 100 |
| 43.47 | 49 |
| 47.68 | 23 |
| 50.02 | 26 |
| 53.79 | 34 |
| 62.95 | 30 |
| 63.05 | 59 |
| 79.59 | 30 |

---

(4)
Structure and simulated XRD peak list of CsLaFe (the GGA-PBE geometry in OQMD; CuKα).

Structure:
```
CsLaFe
1.0
5.8526 0.0000 0.0000
-2.9263 5.0685 0.0000
0.0000 0.0000 9.7189
Cs La Fe
3 3 3
direct
0.0000 0.0000 0.0000
0.0000 0.0000 0.3329
0.0000 0.0000 0.6658
0.3333 0.6667 0.0834
0.3333 0.6667 0.5806
0.6667 0.3333 0.8305
0.3333 0.6667 0.8335
0.6667 0.3333 0.2247
0.6667 0.3333 0.4462
```

Most intense lines, 2θ = 10–80°, sorted by position:
| two_theta | I/Imax |
| --- | --- |
| 25.39 | 35 |
| 30.55 | 100 |
| 32.81 | 49 |
| 40.13 | 10 |
| 41.20 | 9 |
| 45.44 | 19 |
| 51.26 | 10 |
| 54.30 | 19 |
| 55.75 | 21 |
| 59.96 | 10 |
| 63.59 | 12 |
| 73.43 | 9 |

---

(5)
Structure and simulated XRD peak list of Dy2Ho2CIBr2Cl2 (the GGA-PBE geometry in OQMD; CuKα).

Structure:
```
Dy2Ho2CIBr2Cl2
1.0
8.7814 -1.9120 0.0000
8.7814 1.9120 0.0000
-1.9564 0.0000 8.2267
Dy Ho C I Br Cl
2 2 1 1 2 2
direct
0.0002 0.0002 0.1922
0.9998 0.9998 0.8078
0.3610 0.3610 0.9276
0.6390 0.6390 0.0724
0.5000 0.5000 0.0000
0.5000 0.5000 0.5000
0.1713 0.1713 0.8414
0.8287 0.8287 0.1586
0.1609 0.1609 0.3045
0.8391 0.8391 0.6955
```

Most intense lines, 2θ = 10–80°, sorted by position:
| two_theta | I/Imax |
| --- | --- |
| 10.35 | 58 |
| 10.75 | 89 |
| 28.81 | 19 |
| 31.44 | 67 |
| 31.55 | 100 |
| 35.02 | 27 |
| 35.22 | 15 |
| 39.80 | 19 |
| 40.02 | 16 |
| 44.96 | 25 |
| 45.27 | 24 |
| 47.56 | 19 |

---

(6)
Structure and simulated XRD peak list of BePd6 (the GGA-PBE geometry in OQMD; CuKα).

Structure:
```
BePd6
1.0
4.9698 0.0000 0.0000
-2.4849 4.3040 0.0000
0.0000 0.0000 4.8002
Be Pd
1 6
direct
0.0000 0.0000 0.0000
0.0000 0.3520 0.7413
0.0000 0.6480 0.2587
0.3520 0.0000 0.7413
0.3520 0.3520 0.2587
0.6480 0.0000 0.2587
0.6480 0.6480 0.7413
```

Most intense lines, 2θ = 10–80°, sorted by position:
| two_theta | I/Imax |
| --- | --- |
| 36.15 | 23 |
| 37.47 | 28 |
| 40.89 | 100 |
| 41.98 | 1 |
| 53.05 | 16 |
| 60.05 | 2 |
| 65.01 | 16 |
| 69.93 | 19 |
| 76.70 | 2 |
| 77.52 | 18 |
| 79.72 | 13 |
| 79.94 | 3 |